This entry pairs a crystal structure of LaTb4Dy2 with its theoretical powder diffractogram. Radiation: CuKα. Structure: a cell relaxed with PBE.
Peak positions follow from Bragg's law for the DFT cell and can differ from measured ones.

Largest 12 diffraction maxima, sorted by position, 2θ = 10–90°:
29.9 deg, 2.992 Å, intensity 381, hkl 2 -2 0
31.1 deg, 2.873 Å, intensity 1000, hkl 0 1 -3
31.3 deg, 2.858 Å, intensity 488, hkl 0 2 1
32.3 deg, 2.768 Å, intensity 455, hkl 0 3 -2
32.8 deg, 2.730 Å, intensity 228, hkl 2 0 1
32.9 deg, 2.719 Å, intensity 223, hkl -2 1 2
45.8 deg, 1.980 Å, intensity 127, hkl 2 -3 3
51.5 deg, 1.774 Å, intensity 130, hkl -4 1 1
57.6 deg, 1.600 Å, intensity 151, hkl 2 4 -4
61.4 deg, 1.511 Å, intensity 146, hkl 4 -2 2
61.6 deg, 1.506 Å, intensity 145, hkl 4 0 -4
62.1 deg, 1.494 Å, intensity 142, hkl 4 -4 1

Structure:
a = 7.098 Å, b = 8.646 Å, c = 8.881 Å
α = 114.57°, β = 101.36°, γ = 101.79°
Space group P1 (No. 1)
Asymmetric unit:
La (0.000, 0.000, 0.000) x1
La (0.302, 0.669, 0.546) x1
Tb (0.025, 0.827, 0.278) x1
Tb (0.106, 0.554, 0.872) x1
Tb (0.387, 0.403, 0.136) x1
Tb (0.413, 0.230, 0.414) x1
Tb (0.500, 0.001, 0.000) x1
Tb (0.607, 0.554, 0.869) x1
Tb (0.704, 0.117, 0.703) x1
Tb (0.908, 0.232, 0.415) x1
Dy (0.207, 0.123, 0.705) x1
Dy (0.525, 0.824, 0.272) x1
Dy (0.801, 0.668, 0.538) x1
Dy (0.882, 0.403, 0.134) x1